No. 1
# NdDy4Tl4
Computed powder diffraction line list, Cu Kα X-rays. Input: DFT lattice parameters and positions (PBE).
Kinematic intensities with the Lorentz-polarization factor, no thermal factor.

Main lines, most intense first (2θ from 10° to 90°):
(2 0 3), 35.42 deg, I 100; (2 1 1), 28.34 deg, I 91; (2 2 0), 34.35 deg, I 56; (4 2 3), 62.21 deg, I 33; (4 0 0), 49.36 deg, I 28; (1 0 4), 36.46 deg, I 28; (2 0 1), 25.59 deg, I 27; (2 2 2), 38.55 deg, I 23; (3 2 4), 57.13 deg, I 23; (5 2 1), 69.06 deg, I 23

Atomic structure:
```
data_NdDy4Tl4
_symmetry_space_group_name_H-M 'P 42/n m c'
_symmetry_Int_Tables_number 137
_cell_length_a 7.3845
_cell_length_b 7.3845
_cell_length_c 10.4558
_cell_angle_alpha 90.00
_cell_angle_beta 90.00
_cell_angle_gamma 90.00
loop_
_symmetry_equiv_pos_as_xyz
'x,y,z'
'-x,-y,-z'
'-y+1/2,x,z+1/2'
'y+1/2,-x,-z+1/2'
'-x+1/2,-y+1/2,z'
'x+1/2,y+1/2,-z'
'y,-x+1/2,z+1/2'
'-y,x+1/2,-z+1/2'
'x+1/2,-y,-z'
'-x+1/2,y,z'
'-y,-x,-z+1/2'
'y,x,z+1/2'
'-x,y+1/2,-z'
'x,-y+1/2,z'
'y+1/2,x+1/2,-z+1/2'
'-y+1/2,-x+1/2,z+1/2'
loop_
_atom_site_label
_atom_site_type_symbol
_atom_site_fract_x
_atom_site_fract_y
_atom_site_fract_z
Nd1 Nd 0.2500 0.7500 0.2500
Dy1 Dy 0.0190 0.2500 0.1608
Tl1 Tl 0.0293 0.2500 0.4623
```

=====

No. 2
# BaSr3Co
Computed powder diffraction line list, Cu Kα X-rays. Input: DFT lattice parameters and positions (PBE).
Kinematic intensities with the Lorentz-polarization factor, no thermal factor.

Main lines, most intense first (2θ from 10° to 90°):
(1 1 1), 25.69 deg, I 100; (2 0 0), 29.75 deg, I 98; (2 2 0), 42.57 deg, I 72; (3 1 1), 50.39 deg, I 47; (4 2 0), 70.06 deg, I 32; (2 2 2), 52.80 deg, I 25; (1 1 0), 20.92 deg, I 25; (4 2 2), 77.92 deg, I 24; (3 3 1), 68.04 deg, I 19; (5 1 1), 83.66 deg, I 15

Atomic structure:
```
data_BaSr3Co
_symmetry_space_group_name_H-M 'P m -3 m'
_symmetry_Int_Tables_number 221
_symmetry_space_group_name_Hall '-P 4 2 3'
_cell_length_a 6.0065
_cell_length_b 6.0065
_cell_length_c 6.0065
_cell_angle_alpha 90.00
_cell_angle_beta 90.00
_cell_angle_gamma 90.00
loop_
_atom_site_label
_atom_site_type_symbol
_atom_site_fract_x
_atom_site_fract_y
_atom_site_fract_z
Ba1 Ba 0.0000 0.0000 0.0000
Sr1 Sr 0.0000 0.5000 0.5000
Co1 Co 0.5000 0.5000 0.5000
```

=====

No. 3
# Li5Cd3Sn4
Computed powder diffraction line list, Cu Kα X-rays. Input: DFT lattice parameters and positions (PBE).
Kinematic intensities with the Lorentz-polarization factor, no thermal factor.

Main lines, most intense first (2θ from 10° to 90°):
(1 2 0), 27.41 deg, I 100; (2 2 1), 37.98 deg, I 88; (0 1 0), 13.75 deg, I 75; (1 0 2), 28.40 deg, I 74; (0 0 2), 22.67 deg, I 68; (1 0 1), 20.89 deg, I 67; (1 2 -1), 31.20 deg, I 66; (2 0 -1), 39.21 deg, I 61; (-1 1 1), 28.61 deg, I 60; (1 2 -2), 38.42 deg, I 46

Atomic structure:
```
data_Li5Cd3Sn4
_symmetry_space_group_name_H-M 'P -1'
_symmetry_Int_Tables_number 2
_cell_length_a 5.2333
_cell_length_b 6.9286
_cell_length_c 7.9291
_cell_angle_alpha 82.19
_cell_angle_beta 84.37
_cell_angle_gamma 69.24
loop_
_symmetry_equiv_pos_as_xyz
'x,y,z'
'-x,-y,-z'
loop_
_atom_site_label
_atom_site_type_symbol
_atom_site_fract_x
_atom_site_fract_y
_atom_site_fract_z
Li1 Li 0.0000 0.0000 0.0000
Li2 Li 0.2733 0.4493 0.9298
Li3 Li 0.3130 0.3954 0.5681
Cd1 Cd 0.2712 0.9801 0.6384
Cd2 Cd 0.5000 0.0000 0.0000
Sn1 Sn 0.1381 0.2300 0.2759
Sn2 Sn 0.1919 0.6514 0.2482
```

=====

No. 4
# Li2Y2In3
Computed powder diffraction line list, Cu Kα X-rays. Input: DFT lattice parameters and positions (PBE).
Kinematic intensities with the Lorentz-polarization factor, no thermal factor.

Main lines, most intense first (2θ from 10° to 90°):
(1 1 1), 34.05 deg, I 100; (0 6 1), 36.77 deg, I 70; (1 7 0), 34.60 deg, I 63; (1 5 0), 28.17 deg, I 56; (2 6 1), 55.22 deg, I 42; (2 12 0), 65.18 deg, I 37; (2 0 0), 39.70 deg, I 31; (1 7 2), 67.81 deg, I 17; (1 3 0), 23.01 deg, I 14; (0 12 0), 49.48 deg, I 13

Atomic structure:
```
data_Li2Y2In3
_symmetry_space_group_name_H-M 'C m m m'
_symmetry_Int_Tables_number 65
_symmetry_space_group_name_Hall '-C 2 2'
_cell_length_a 4.5405
_cell_length_b 22.1056
_cell_length_c 3.2667
_cell_angle_alpha 90.00
_cell_angle_beta 90.00
_cell_angle_gamma 90.00
loop_
_atom_site_label
_atom_site_type_symbol
_atom_site_fract_x
_atom_site_fract_y
_atom_site_fract_z
Li1 Li 0.0000 0.2186 0.0000
Y1 Y 0.0000 0.0783 0.0000
In1 In 0.0000 0.3386 0.5000
In2 In 0.0000 0.5000 0.5000
```

=====

Copy entry 3 word for word.
# Li5Cd3Sn4
Computed powder diffraction line list, Cu Kα X-rays. Input: DFT lattice parameters and positions (PBE).
Kinematic intensities with the Lorentz-polarization factor, no thermal factor.

Main lines, most intense first (2θ from 10° to 90°):
(1 2 0), 27.41 deg, I 100; (2 2 1), 37.98 deg, I 88; (0 1 0), 13.75 deg, I 75; (1 0 2), 28.40 deg, I 74; (0 0 2), 22.67 deg, I 68; (1 0 1), 20.89 deg, I 67; (1 2 -1), 31.20 deg, I 66; (2 0 -1), 39.21 deg, I 61; (-1 1 1), 28.61 deg, I 60; (1 2 -2), 38.42 deg, I 46

Atomic structure:
```
data_Li5Cd3Sn4
_symmetry_space_group_name_H-M 'P -1'
_symmetry_Int_Tables_number 2
_cell_length_a 5.2333
_cell_length_b 6.9286
_cell_length_c 7.9291
_cell_angle_alpha 82.19
_cell_angle_beta 84.37
_cell_angle_gamma 69.24
loop_
_symmetry_equiv_pos_as_xyz
'x,y,z'
'-x,-y,-z'
loop_
_atom_site_label
_atom_site_type_symbol
_atom_site_fract_x
_atom_site_fract_y
_atom_site_fract_z
Li1 Li 0.0000 0.0000 0.0000
Li2 Li 0.2733 0.4493 0.9298
Li3 Li 0.3130 0.3954 0.5681
Cd1 Cd 0.2712 0.9801 0.6384
Cd2 Cd 0.5000 0.0000 0.0000
Sn1 Sn 0.1381 0.2300 0.2759
Sn2 Sn 0.1919 0.6514 0.2482
```